For Ga5Pb2Au3, a DFT-relaxed cell (PBE, Alexandria) gives the simulated PXRD pattern in this record (Cu Ka).
Peak positions follow from Bragg's law for the DFT cell and can differ from measured ones.

The 8 most intense peaks (2θ from 10° to 90°), by angle:
| 2θ (°) | I_rel |
| --- | --- |
| 23.7 | 27 |
| 31.7 | 22 |
| 33.2 | 100 |
| 33.7 | 59 |
| 36.4 | 28 |
| 37.1 | 25 |
| 41.1 | 43 |
| 43.3 | 40 |

Structural model:
Cell: 13.254 13.254 7.417 Å, 90.00 90.00 160.90°
Positions (direct):
Ga: 0.054 0.946 0.500
Ga: 0.122 0.878 0.157
Ga: 0.293 0.707 0.796
Ga: 0.295 0.705 0.392
Ga: 0.396 0.604 0.277
Ga: 0.604 0.396 0.777
Ga: 0.705 0.295 0.892
Ga: 0.707 0.293 0.296
Ga: 0.878 0.122 0.657
Ga: 0.946 0.054 0.000
Pb: 0.178 0.822 0.598
Pb: 0.480 0.520 0.643
Pb: 0.520 0.480 0.143
Pb: 0.822 0.178 0.098
Au: 0.055 0.945 0.875
Au: 0.224 0.776 0.090
Au: 0.392 0.608 0.895
Au: 0.608 0.392 0.395
Au: 0.776 0.224 0.590
Au: 0.945 0.055 0.375